# 1
Calculated XRD peak list of CeCd5Bi4 for Cu Kα, 1.54184 Å, from a structure optimized by DFT (GGA-PBE).
Lines closer than 0.1° are merged.

Atomic structure:
```
data_CeCd5Bi4
_chemical_formula_sum 'Ce2 Cd10 Bi8'
_cell_length_a 5.0603
_cell_length_b 10.4514
_cell_length_c 10.8869
_cell_angle_alpha 90.00
_cell_angle_beta 90.00
_cell_angle_gamma 90.00
_symmetry_space_group_name_H-M 'I m m m'
_symmetry_Int_Tables_number 71
_symmetry_space_group_name_Hall '-I 2 2'
loop_
_atom_site_label
_atom_site_type_symbol
_atom_site_fract_x
_atom_site_fract_y
_atom_site_fract_z
Ce1 Ce 0.0000 0.0000 0.0000
Cd1 Cd 0.0000 0.2799 0.1816
Cd2 Cd 0.0000 0.5000 0.0000
Bi1 Bi 0.0000 0.0000 0.3127
Bi2 Bi 0.0000 0.2964 0.5000
```

Largest 10 diffraction maxima, most intense first, 2θ from 15° to 90°:
| 2theta | d (Å) | Rel. int. | index |
| --- | --- | --- | --- |
| 34.9 | 2.568 | 100 | 1 2 3 |
| 31.2 | 2.870 | 35 | 1 3 0 |
| 35.5 | 2.530 | 29 | 2 0 0 |
| 63.1 | 1.473 | 21 | 2 0 6 |
| 50.3 | 1.813 | 21 | 0 0 6 |
| 26.0 | 3.428 | 20 | 0 1 3 |
| 34.3 | 2.613 | 18 | 0 4 0 |
| 63.4 | 1.468 | 18 | 3 2 3 |
| 50.2 | 1.818 | 16 | 2 4 0 |
| 25.5 | 3.493 | 12 | 1 1 2 |


# 2
Calculated XRD peak list of Ce2Cd3Bi3 for Cu Kα, 1.54184 Å, from a structure optimized by DFT (GGA-PBE).
Lines closer than 0.1° are merged.

Atomic structure:
```
data_Ce2Cd3Bi3
_chemical_formula_sum 'Ce2 Cd3 Bi3'
_cell_length_a 4.7714
_cell_length_b 5.1238
_cell_length_c 9.0339
_cell_angle_alpha 90.00
_cell_angle_beta 90.00
_cell_angle_gamma 90.00
_symmetry_space_group_name_H-M 'P m m m'
_symmetry_Int_Tables_number 47
loop_
_symmetry_equiv_pos_as_xyz
'x,y,z'
'-x,-y,-z'
'-x,-y,z'
'x,y,-z'
'x,-y,-z'
'-x,y,z'
'-x,y,-z'
'x,-y,z'
loop_
_atom_site_label
_atom_site_type_symbol
_atom_site_fract_x
_atom_site_fract_y
_atom_site_fract_z
Ce1 Ce 0.0000 0.0000 0.2443
Cd1 Cd 0.0000 0.5000 0.5000
Cd2 Cd 0.5000 0.5000 0.2640
Bi1 Bi 0.0000 0.5000 0.0000
Bi2 Bi 0.5000 0.0000 0.0000
Bi3 Bi 0.5000 0.0000 0.5000
```

Largest 10 diffraction maxima, most intense first, 2θ from 15° to 90°:
| 2theta | d (Å) | Rel. int. | index |
| --- | --- | --- | --- |
| 32.4 | 2.763 | 100 | 1 1 2 |
| 67.8 | 1.382 | 23 | 2 2 4 |
| 35.0 | 2.562 | 20 | 0 2 0 |
| 37.7 | 2.386 | 17 | 2 0 0 |
| 61.2 | 1.515 | 16 | 1 3 2 |
| 39.9 | 2.258 | 14 | 0 0 4 |
| 64.7 | 1.440 | 14 | 3 1 2 |
| 52.4 | 1.746 | 13 | 2 2 0 |
| 54.1 | 1.694 | 11 | 0 2 4 |
| 56.1 | 1.640 | 10 | 2 0 4 |


# 3
Calculated XRD peak list of CdBiCl5 for Cu Kα, 1.54184 Å, from a structure optimized by DFT (GGA-PBE).
Lines closer than 0.1° are merged.

Atomic structure:
```
data_CdBiCl5
_chemical_formula_sum 'Cd4 Bi4 Cl20'
_cell_length_a 9.0932
_cell_length_b 13.5285
_cell_length_c 8.3129
_cell_angle_alpha 90.00
_cell_angle_beta 103.05
_cell_angle_gamma 90.00
_symmetry_space_group_name_H-M 'P 1 21/c 1'
_symmetry_Int_Tables_number 14
loop_
_symmetry_equiv_pos_as_xyz
'x,y,z'
'-x,-y,-z'
'-x,y+1/2,-z+1/2'
'x,-y+1/2,z+1/2'
loop_
_atom_site_label
_atom_site_type_symbol
_atom_site_fract_x
_atom_site_fract_y
_atom_site_fract_z
Cd1 Cd 0.0943 0.2405 0.1504
Bi1 Bi 0.4918 0.5084 0.7483
Cl1 Cl 0.0650 0.7469 0.6394
Cl2 Cl 0.2071 0.0702 0.1790
Cl3 Cl 0.2305 0.0959 0.6818
Cl4 Cl 0.4110 0.6194 0.0114
Cl5 Cl 0.4107 0.6193 0.4444
```

Largest 10 diffraction maxima, most intense first, 2θ from 15° to 90°:
| 2theta | d (Å) | Rel. int. | index |
| --- | --- | --- | --- |
| 16.5 | 5.376 | 100 | 1 2 0 |
| 29.4 | 3.037 | 36 | 1 2 2 |
| 22.0 | 4.047 | 24 | 0 0 2 |
| 34.6 | 2.595 | 24 | 0 4 2 |
| 42.9 | 2.108 | 22 | 2 4 2 |
| 25.7 | 3.472 | 22 | 1 2 -2 |
| 33.3 | 2.690 | 20 | 3 0 -2 |
| 48.4 | 1.879 | 17 | 1 6 2 |
| 20.0 | 4.429 | 16 | 2 0 0 |
| 33.1 | 2.703 | 16 | 2 0 2 |


# 4
Calculated XRD peak list of CdBiCl for Cu Kα, 1.54184 Å, from a structure optimized by DFT (GGA-PBE).
Lines closer than 0.1° are merged.

Atomic structure:
```
data_CdBiCl
_chemical_formula_sum 'Cd4 Bi4 Cl4'
_cell_length_a 11.7836
_cell_length_b 4.1668
_cell_length_c 10.4878
_cell_angle_alpha 90.00
_cell_angle_beta 123.16
_cell_angle_gamma 90.00
_symmetry_space_group_name_H-M 'C 1 2/m 1'
_symmetry_Int_Tables_number 12
loop_
_symmetry_equiv_pos_as_xyz
'x,y,z'
'-x,-y,-z'
'-x,y,-z'
'x,-y,z'
'x+1/2,y+1/2,z'
'-x+1/2,-y+1/2,-z'
'-x+1/2,y+1/2,-z'
'x+1/2,-y+1/2,z'
loop_
_atom_site_label
_atom_site_type_symbol
_atom_site_fract_x
_atom_site_fract_y
_atom_site_fract_z
Cd1 Cd 0.0865 0.0000 0.4557
Bi1 Bi 0.2041 0.0000 0.0601
Cl1 Cl 0.1393 0.5000 0.3332
```

Largest 10 diffraction maxima, most intense first, 2θ from 15° to 90°:
| 2theta | d (Å) | Rel. int. | index |
| --- | --- | --- | --- |
| 27.4 | 3.253 | 100 | 1 1 -2 |
| 25.1 | 3.550 | 84 | 2 0 1 |
| 31.8 | 2.815 | 77 | 3 1 -2 |
| 20.2 | 4.390 | 76 | 0 0 2 |
| 23.2 | 3.838 | 40 | 1 1 0 |
| 46.7 | 1.945 | 38 | 5 1 -1 |
| 41.0 | 2.203 | 38 | 3 1 -4 |
| 42.6 | 2.120 | 35 | 1 1 3 |
| 31.7 | 2.827 | 34 | 3 1 -1 |
| 15.0 | 5.891 | 31 | 2 0 -1 |


# 5
Calculated XRD peak list of CsCdBiCl6 for Cu Kα, 1.54184 Å, from a structure optimized by DFT (GGA-PBE).
Lines closer than 0.1° are merged.

Atomic structure:
```
data_CsCdBiCl6
_chemical_formula_sum 'Cs1 Cd1 Bi1 Cl6'
_cell_length_a 7.0974
_cell_length_b 7.0974
_cell_length_c 7.7173
_cell_angle_alpha 90.00
_cell_angle_beta 90.00
_cell_angle_gamma 120.00
_symmetry_space_group_name_H-M 'P 3 1 2'
_symmetry_Int_Tables_number 149
loop_
_symmetry_equiv_pos_as_xyz
'x,y,z'
'-y,x-y,z'
'-x+y,-x,z'
'-y,-x,-z'
'-x+y,y,-z'
'x,x-y,-z'
loop_
_atom_site_label
_atom_site_type_symbol
_atom_site_fract_x
_atom_site_fract_y
_atom_site_fract_z
Cs1 Cs 0.0000 0.0000 0.0000
Cd1 Cd 0.3333 0.6667 0.5000
Bi1 Bi 0.6667 0.3333 0.5000
Cl1 Cl 0.0072 0.3826 0.2986
```

Largest 10 diffraction maxima, most intense first, 2θ from 15° to 90°:
| 2theta | d (Å) | Rel. int. | index |
| --- | --- | --- | --- |
| 18.5 | 4.808 | 100 | 1 0 1 |
| 34.3 | 2.612 | 66 | 1 1 2 |
| 25.1 | 3.549 | 30 | 1 1 0 |
| 40.6 | 2.225 | 27 | 2 1 1 |
| 31.3 | 2.855 | 22 | 2 0 1 |
| 27.7 | 3.224 | 21 | 1 1 1 |
| 44.2 | 2.049 | 20 | 3 0 0 |
| 37.9 | 2.373 | 13 | 1 0 3 |
| 57.1 | 1.612 | 13 | 4 -2 2 |
| 55.2 | 1.665 | 13 | 4 -1 1 |


# 6
Calculated XRD peak list of K2CdBiCl for Cu Kα, 1.54184 Å, from a structure optimized by DFT (GGA-PBE).
Lines closer than 0.1° are merged.

Atomic structure:
```
data_K2CdBiCl
_chemical_formula_sum 'K2 Cd1 Bi1 Cl1'
_cell_length_a 6.9338
_cell_length_b 6.9338
_cell_length_c 5.7243
_cell_angle_alpha 90.00
_cell_angle_beta 90.00
_cell_angle_gamma 90.00
_symmetry_space_group_name_H-M 'P 4/m m m'
_symmetry_Int_Tables_number 123
_symmetry_space_group_name_Hall '-P 4 2'
loop_
_atom_site_label
_atom_site_type_symbol
_atom_site_fract_x
_atom_site_fract_y
_atom_site_fract_z
K1 K 0.0000 0.5000 0.0000
Cd1 Cd 0.0000 0.0000 0.5000
Bi1 Bi 0.5000 0.5000 0.0000
Cl1 Cl 0.5000 0.5000 0.5000
```

Largest 10 diffraction maxima, most intense first, 2θ from 15° to 90°:
| 2theta | d (Å) | Rel. int. | index |
| --- | --- | --- | --- |
| 20.1 | 4.414 | 100 | 1 0 1 |
| 25.7 | 3.467 | 69 | 2 0 0 |
| 32.8 | 2.727 | 61 | 2 1 1 |
| 18.1 | 4.903 | 60 | 1 1 0 |
| 40.9 | 2.207 | 39 | 2 0 2 |
| 36.7 | 2.451 | 27 | 2 2 0 |
| 48.9 | 1.862 | 23 | 2 2 2 |
| 36.3 | 2.472 | 22 | 1 1 2 |
| 31.3 | 2.862 | 21 | 0 0 2 |
| 50.0 | 1.823 | 19 | 3 2 1 |


# 7
Calculated XRD peak list of CdBi8Cl10O8 for Cu Kα, 1.54184 Å, from a structure optimized by DFT (GGA-PBE).
Lines closer than 0.1° are merged.

Atomic structure:
```
data_CdBi8Cl10O8
_chemical_formula_sum 'Cd2 Bi16 Cl20 O16'
_cell_length_a 5.5080
_cell_length_b 37.6831
_cell_length_c 5.5090
_cell_angle_alpha 90.00
_cell_angle_beta 90.00
_cell_angle_gamma 90.00
_symmetry_space_group_name_H-M 'C m m m'
_symmetry_Int_Tables_number 65
_symmetry_space_group_name_Hall '-C 2 2'
loop_
_atom_site_label
_atom_site_type_symbol
_atom_site_fract_x
_atom_site_fract_y
_atom_site_fract_z
Cd1 Cd 0.0000 0.0000 0.0000
Bi1 Bi 0.0000 0.1089 0.5000
Bi2 Bi 0.0000 0.1774 0.0000
Bi3 Bi 0.0000 0.3233 0.5000
Bi4 Bi 0.0000 0.3911 0.0000
Cl1 Cl 0.0000 0.0000 0.5000
Cl2 Cl 0.0000 0.0719 0.0000
Cl3 Cl 0.0000 0.2138 0.5000
Cl4 Cl 0.0000 0.2862 0.0000
Cl5 Cl 0.0000 0.4259 0.5000
Cl6 Cl 0.0000 0.5000 0.0000
O1 O 0.2485 0.1430 0.2485
```

Largest 10 diffraction maxima, most intense first, 2θ from 15° to 90°:
| 2theta | d (Å) | Rel. int. | index |
| --- | --- | --- | --- |
| 31.4 | 2.852 | 100 | 1 9 1 |
| 25.7 | 3.460 | 86 | 1 5 1 |
| 32.5 | 2.754 | 65 | 2 0 0 |
| 57.3 | 1.608 | 36 | 3 9 1 |
| 46.6 | 1.948 | 30 | 2 0 2 |
| 54.0 | 1.697 | 25 | 3 5 1 |
| 40.6 | 2.224 | 25 | 2 10 0 |
| 47.2 | 1.925 | 23 | 2 14 0 |
| 51.7 | 1.767 | 19 | 1 19 1 |
| 23.6 | 3.768 | 16 | 0 10 0 |


# 8
Calculated XRD peak list of Cs3Cd3Bi8 for Cu Kα, 1.54184 Å, from a structure optimized by DFT (GGA-PBE).
Lines closer than 0.1° are merged.

Atomic structure:
```
data_Cs3Cd3Bi8
_chemical_formula_sum 'Cs6 Cd6 Bi16'
_cell_length_a 19.6835
_cell_length_b 5.4944
_cell_length_c 12.2420
_cell_angle_alpha 90.00
_cell_angle_beta 127.26
_cell_angle_gamma 90.00
_symmetry_space_group_name_H-M 'C 1 2/m 1'
_symmetry_Int_Tables_number 12
loop_
_symmetry_equiv_pos_as_xyz
'x,y,z'
'-x,-y,-z'
'-x,y,-z'
'x,-y,z'
'x+1/2,y+1/2,z'
'-x+1/2,-y+1/2,-z'
'-x+1/2,y+1/2,-z'
'x+1/2,-y+1/2,z'
loop_
_atom_site_label
_atom_site_type_symbol
_atom_site_fract_x
_atom_site_fract_y
_atom_site_fract_z
Cs1 Cs 0.0000 0.0000 0.0000
Cs2 Cs 0.1835 0.5000 0.6736
Cd1 Cd 0.0000 0.0000 0.5000
Cd2 Cd 0.1761 0.5000 0.0676
Bi1 Bi 0.0277 0.5000 0.7589
Bi2 Bi 0.1234 0.0000 0.4039
Bi3 Bi 0.1531 0.0000 0.8957
Bi4 Bi 0.1692 0.5000 0.3212
```

Largest 10 diffraction maxima, most intense first, 2θ from 15° to 90°:
| 2theta | d (Å) | Rel. int. | index |
| --- | --- | --- | --- |
| 27.5 | 3.242 | 100 | 1 1 2 |
| 32.6 | 2.747 | 68 | 0 2 0 |
| 27.9 | 3.198 | 53 | 5 1 -2 |
| 27.2 | 3.274 | 38 | 3 1 -3 |
| 29.1 | 3.074 | 32 | 5 1 -1 |
| 34.3 | 2.611 | 27 | 6 0 0 |
| 36.0 | 2.492 | 25 | 7 1 -3 |
| 50.5 | 1.807 | 24 | 3 1 -6 |
| 37.5 | 2.397 | 24 | 1 1 -4 |
| 34.1 | 2.627 | 22 | 5 1 -4 |


# 9
Calculated XRD peak list of Cs2Cd3Bi5 for Cu Kα, 1.54184 Å, from a structure optimized by DFT (GGA-PBE).
Lines closer than 0.1° are merged.

Atomic structure:
```
data_Cs2Cd3Bi5
_chemical_formula_sum 'Cs2 Cd3 Bi5'
_cell_length_a 5.7713
_cell_length_b 5.7713
_cell_length_c 11.7532
_cell_angle_alpha 90.00
_cell_angle_beta 90.00
_cell_angle_gamma 90.00
_symmetry_space_group_name_H-M 'P -4 m 2'
_symmetry_Int_Tables_number 115
loop_
_symmetry_equiv_pos_as_xyz
'x,y,z'
'y,-x,-z'
'-x,-y,z'
'-y,x,-z'
'-x,y,z'
'-y,-x,-z'
'x,-y,z'
'y,x,-z'
loop_
_atom_site_label
_atom_site_type_symbol
_atom_site_fract_x
_atom_site_fract_y
_atom_site_fract_z
Cs1 Cs 0.0000 0.5000 0.2461
Cd1 Cd 0.0000 0.0000 0.0000
Cd2 Cd 0.0000 0.5000 0.8919
Bi1 Bi 0.0000 0.0000 0.5000
Bi2 Bi 0.0000 0.5000 0.6205
Bi3 Bi 0.5000 0.5000 0.0000
Bi4 Bi 0.5000 0.5000 0.5000
```

Largest 10 diffraction maxima, most intense first, 2θ from 15° to 90°:
| 2theta | d (Å) | Rel. int. | index |
| --- | --- | --- | --- |
| 31.0 | 2.886 | 100 | 2 0 0 |
| 26.6 | 3.352 | 93 | 1 1 2 |
| 27.5 | 3.241 | 63 | 1 0 3 |
| 37.7 | 2.385 | 54 | 1 1 4 |
| 41.9 | 2.155 | 40 | 2 1 3 |
| 44.4 | 2.040 | 39 | 2 2 0 |
| 15.1 | 5.877 | 30 | 0 0 2 |
| 52.5 | 1.743 | 29 | 3 1 2 |
| 59.6 | 1.550 | 29 | 3 1 4 |
| 51.8 | 1.766 | 26 | 1 1 6 |


# 10
Calculated XRD peak list of CsCd6Bi4 for Cu Kα, 1.54184 Å, from a structure optimized by DFT (GGA-PBE).
Lines closer than 0.1° are merged.

Atomic structure:
```
data_CsCd6Bi4
_chemical_formula_sum 'Cs2 Cd12 Bi8'
_cell_length_a 5.2620
_cell_length_b 5.2620
_cell_length_c 27.0569
_cell_angle_alpha 90.00
_cell_angle_beta 90.00
_cell_angle_gamma 90.00
_symmetry_space_group_name_H-M 'I 4/m m m'
_symmetry_Int_Tables_number 139
_symmetry_space_group_name_Hall '-I 4 2'
loop_
_atom_site_label
_atom_site_type_symbol
_atom_site_fract_x
_atom_site_fract_y
_atom_site_fract_z
Cs1 Cs 0.0000 0.0000 0.0000
Cd1 Cd 0.0000 0.5000 0.1268
Cd2 Cd 0.0000 0.5000 0.2500
Bi1 Bi 0.0000 0.0000 0.1921
Bi2 Bi 0.0000 0.0000 0.4304
```

Largest 10 diffraction maxima, most intense first, 2θ from 15° to 90°:
| 2theta | d (Å) | Rel. int. | index |
| --- | --- | --- | --- |
| 35.9 | 2.503 | 100 | 1 1 8 |
| 23.6 | 3.772 | 94 | 1 0 5 |
| 34.1 | 2.631 | 86 | 2 0 0 |
| 41.9 | 2.158 | 43 | 2 1 5 |
| 62.2 | 1.493 | 40 | 3 1 8 |
| 49.0 | 1.860 | 31 | 2 2 0 |
| 19.5 | 4.545 | 28 | 1 0 3 |
| 65.6 | 1.423 | 21 | 2 0 16 |
| 76.1 | 1.251 | 19 | 2 2 16 |
| 24.8 | 3.588 | 15 | 1 1 2 |


# 11
Calculated XRD peak list of CsCd6Bi6 for Cu Kα, 1.54184 Å, from a structure optimized by DFT (GGA-PBE).
Lines closer than 0.1° are merged.

Atomic structure:
```
data_CsCd6Bi6
_chemical_formula_sum 'Cs1 Cd6 Bi6'
_cell_length_a 8.3115
_cell_length_b 8.3115
_cell_length_c 8.3115
_cell_angle_alpha 90.00
_cell_angle_beta 90.00
_cell_angle_gamma 90.00
_symmetry_space_group_name_H-M 'P m -3'
_symmetry_Int_Tables_number 200
_symmetry_space_group_name_Hall '-P 2 2 3'
loop_
_atom_site_label
_atom_site_type_symbol
_atom_site_fract_x
_atom_site_fract_y
_atom_site_fract_z
Cs1 Cs 0.0000 0.0000 0.0000
Cd1 Cd 0.0000 0.2543 0.5000
Bi1 Bi 0.0000 0.5000 0.2461
```

Largest 10 diffraction maxima, most intense first, 2θ from 15° to 90°:
| 2theta | d (Å) | Rel. int. | index |
| --- | --- | --- | --- |
| 26.3 | 3.393 | 100 | 2 1 1 |
| 15.1 | 5.877 | 79 | 1 1 0 |
| 37.5 | 2.399 | 72 | 2 2 2 |
| 40.6 | 2.221 | 64 | 3 2 1 |
| 43.6 | 2.078 | 46 | 4 0 0 |
| 21.4 | 4.156 | 41 | 2 0 0 |
| 23.9 | 3.717 | 30 | 2 0 1 |
| 63.3 | 1.469 | 30 | 4 4 0 |
| 75.9 | 1.253 | 28 | 6 2 2 |
| 34.1 | 2.628 | 23 | 3 1 0 |


# 12
Calculated XRD peak list of CsCd5Bi3 for Cu Kα, 1.54184 Å, from a structure optimized by DFT (GGA-PBE).
Lines closer than 0.1° are merged.

Atomic structure:
```
data_CsCd5Bi3
_chemical_formula_sum 'Cs4 Cd20 Bi12'
_cell_length_a 5.5327
_cell_length_b 15.6348
_cell_length_c 14.2518
_cell_angle_alpha 90.00
_cell_angle_beta 90.00
_cell_angle_gamma 90.00
_symmetry_space_group_name_H-M 'C m c m'
_symmetry_Int_Tables_number 63
_symmetry_space_group_name_Hall '-C 2c 2'
loop_
_atom_site_label
_atom_site_type_symbol
_atom_site_fract_x
_atom_site_fract_y
_atom_site_fract_z
Cs1 Cs 0.0000 0.1935 0.2500
Cd1 Cd 0.0000 0.0000 0.0000
Cd2 Cd 0.0000 0.1770 0.5714
Cd3 Cd 0.0000 0.4755 0.1480
Bi1 Bi 0.0000 0.0731 0.7500
Bi2 Bi 0.0000 0.3652 0.5294
```

Largest 10 diffraction maxima, most intense first, 2θ from 15° to 90°:
| 2theta | d (Å) | Rel. int. | index |
| --- | --- | --- | --- |
| 32.4 | 2.766 | 100 | 2 0 0 |
| 26.6 | 3.349 | 68 | 1 3 2 |
| 25.4 | 3.512 | 62 | 1 1 3 |
| 34.5 | 2.597 | 51 | 1 3 4 |
| 38.1 | 2.362 | 49 | 1 5 3 |
| 41.8 | 2.162 | 42 | 1 1 6 |
| 35.3 | 2.543 | 38 | 1 5 2 |
| 21.1 | 4.209 | 36 | 1 1 2 |
| 39.5 | 2.279 | 36 | 1 3 5 |
| 23.6 | 3.769 | 32 | 0 4 1 |